Simulated powder diffractogram of Tl3VCr3O8 for a wavelength of 1.5418 Å, from DFT lattice parameters and positions (PBE+U).

Peak list (6 most intense, 2θ = 10–90°, in order of rising 2θ)
| 2theta | I/Imax |
| --- | --- |
| 13.6 | 62 |
| 17.3 | 55 |
| 27.3 | 90 |
| 35.1 | 76 |
| 38.6 | 100 |
| 50.7 | 55 |

Atomic structure:
```
Tl3VCr3O8
1.0
5.3318 -3.0541 0.0000
5.3318 3.0541 0.0000
-3.5441 0.0000 6.5312
Tl V Cr O
3 1 3 8
direct
0.0000 0.0000 0.0000 Tl
0.0000 0.5000 0.0000 Tl
0.5000 0.0000 0.0000 Tl
0.0000 0.0000 0.5000 V
0.0000 0.5000 0.5000 Cr
0.5000 0.0000 0.5000 Cr
0.5000 0.5000 0.5000 Cr
0.2105 0.7311 0.6557 O
0.2139 0.2139 0.6550 O
0.2689 0.7895 0.3443 O
0.2837 0.2837 0.3483 O
0.7163 0.7163 0.6517 O
0.7311 0.2105 0.6557 O
0.7861 0.7861 0.3450 O
0.7895 0.2689 0.3443 O
```